[1]
LiLu2Os: theoretical X-ray powder pattern (Cu Kα (λ = 1.5418 Å)), based on a structure optimized by DFT (PBE).
Neutral-atom scattering factors, no anomalous dispersion.

Crystal structure
```
8
Lattice="4.234 0.000 0.000 -2.117 3.666 0.000 0.000 0.000 13.036" Properties=species:S:1:pos:R:3 pbc="T T T"
Li 0.000 2.444 3.259
Li 2.117 1.222 9.777
Lu 0.000 2.444 7.719
Lu 0.000 2.444 11.835
Lu 2.117 1.222 1.201
Lu 2.117 1.222 5.317
Os 0.000 0.000 0.000
Os 0.000 0.000 6.518
```

The 8 most intense peaks (2θ = 10–90°), sorted by position:
d_spacing, intensity
6.518, 100.0
3.529, 36.1
2.802, 70.3
2.436, 48.1
2.117, 51.2
2.013, 31.3
1.869, 30.3
1.689, 15.9

[2]
Dy2YCdPt4: theoretical X-ray powder pattern (Cu Kα (λ = 1.5418 Å)), based on a structure optimized by DFT (PBE).
Neutral-atom scattering factors, no anomalous dispersion.

Crystal structure
```
8
Lattice="4.879 0.000 0.000 0.000 4.879 0.000 0.000 0.000 6.885" Properties=species:S:1:pos:R:3 pbc="T T T"
Dy 0.000 0.000 0.000
Dy 2.440 2.440 3.443
Y 0.000 0.000 3.443
Cd 2.440 2.440 0.000
Pt 0.000 2.440 1.743
Pt 0.000 2.440 5.142
Pt 2.440 0.000 1.743
Pt 2.440 0.000 5.142
```

The 8 most intense peaks (2θ = 10–90°), sorted by position:
d_spacing, intensity
3.448, 4.2
2.438, 100.0
1.725, 11.8
1.721, 5.8
1.407, 35.9
1.220, 3.8
1.218, 7.5
1.091, 11.2

[3]
Dy4Y2ErNi2Te2: theoretical X-ray powder pattern (Cu Kα (λ = 1.5418 Å)), based on a structure optimized by DFT (PBE).
Neutral-atom scattering factors, no anomalous dispersion.

Crystal structure
```
11
Lattice="-1.923 7.832 4.781 1.923 -7.832 4.781 1.923 7.832 -4.781" Properties=species:S:1:pos:R:3 pbc="T T T"
Dy 0.000 2.295 0.000
Dy 1.923 4.939 -1.447
Dy 0.000 2.893 3.334
Dy 0.000 13.368 0.000
Y 0.000 5.780 1.412
Y 0.000 9.884 1.412
Er 1.923 0.000 2.197
Ni 1.923 3.717 1.509
Ni 0.000 4.114 6.290
Te 0.000 0.000 4.717
Te 0.000 7.832 3.772
```

The 8 most intense peaks (2θ = 10–90°), sorted by position:
d_spacing, intensity
3.097, 45.8
2.943, 53.2
2.720, 87.6
2.637, 100.0
2.599, 44.2
2.454, 35.3
1.923, 31.5
1.570, 39.8

[4]
Ba2Sb3W2: theoretical X-ray powder pattern (Cu Kα (λ = 1.5418 Å)), based on a structure optimized by DFT (PBE).
Neutral-atom scattering factors, no anomalous dispersion.

Crystal structure
```
14
Lattice="9.370 -2.140 0.000 9.370 2.140 0.000 -6.388 0.000 11.211" Properties=species:S:1:pos:R:3 pbc="T T T"
Ba -1.038 0.000 5.103
Ba -1.032 0.000 9.334
Ba 13.384 0.000 1.877
Ba 13.389 0.000 6.108
Sb -4.004 0.000 11.016
Sb 2.068 0.000 8.072
Sb 5.948 0.000 3.732
Sb 6.403 0.000 7.479
Sb 10.283 0.000 3.139
Sb 16.355 0.000 0.196
W 0.072 0.000 1.400
W 7.863 0.000 1.827
W 4.488 0.000 9.384
W 12.279 0.000 9.811
```

The 8 most intense peaks (2θ = 10–90°), sorted by position:
d_spacing, intensity
8.141, 89.5
3.530, 24.4
3.147, 100.0
2.978, 36.4
2.263, 52.1
2.252, 39.7
2.203, 38.1
2.140, 39.2

[5]
GdErPbC: theoretical X-ray powder pattern (Cu Kα (λ = 1.5418 Å)), based on a structure optimized by DFT (PBE).
Neutral-atom scattering factors, no anomalous dispersion.

Crystal structure
```
8
Lattice="3.640 0.000 0.000 -1.820 3.152 0.000 0.000 0.000 16.168" Properties=species:S:1:pos:R:3 pbc="T T T"
Gd 0.000 2.101 0.000
Gd 1.820 1.051 8.084
Er 0.000 2.101 10.755
Er 1.820 1.051 2.671
Pb 0.000 2.101 5.351
Pb 1.820 1.051 13.435
C 0.000 0.000 1.369
C 0.000 0.000 9.453
```

The 8 most intense peaks (2θ = 10–90°), sorted by position:
d_spacing, intensity
3.152, 22.4
2.721, 100.0
2.695, 20.7
2.048, 16.0
1.820, 21.4
1.561, 18.9
1.513, 17.1
1.508, 21.9

[6]
Cs2NpAgCl6: theoretical X-ray powder pattern (Cu Kα (λ = 1.5418 Å)), based on a structure optimized by DFT (PBE).
Neutral-atom scattering factors, no anomalous dispersion.

Crystal structure
```
10
Lattice="-3.804 3.804 5.565 3.804 -3.804 5.565 3.804 3.804 -5.565" Properties=species:S:1:pos:R:3 pbc="T T T"
Cs 3.804 0.000 2.783
Cs 0.000 3.804 2.783
Np 0.000 0.000 0.000
Ag 0.000 0.000 5.565
Cl 2.203 1.584 0.000
Cl 0.000 0.000 2.721
Cl 2.220 -1.601 5.565
Cl 1.584 5.404 0.000
Cl 0.000 0.000 8.409
Cl 1.601 2.220 5.565
```

The 8 most intense peaks (2θ = 10–90°), sorted by position:
d_spacing, intensity
3.868, 100.0
3.804, 53.6
2.783, 26.9
2.690, 44.9
2.246, 26.5
2.208, 51.7
1.934, 33.0
1.451, 16.2

[7]
Co15Sn: theoretical X-ray powder pattern (Cu Kα (λ = 1.5418 Å)), based on a structure optimized by DFT (PBE).
Neutral-atom scattering factors, no anomalous dispersion.

Crystal structure
```
32
Lattice="3.506 0.000 0.000 0.000 3.505 0.000 0.000 0.000 40.752" Properties=species:S:1:pos:R:3 pbc="T T T"
Co 0.877 0.000 0.864
Co 0.877 0.000 4.325
Co 0.877 0.000 7.809
Co 0.877 0.000 11.319
Co 0.877 0.000 27.714
Co 0.877 0.000 31.198
Co 0.877 0.000 34.687
Co 0.877 0.000 38.162
Co 0.877 1.753 2.593
Co 0.877 1.753 6.072
Co 0.877 1.753 9.588
Co 0.877 1.753 29.433
Co 0.877 1.753 32.943
Co 0.877 1.753 36.427
Co 0.877 1.753 39.888
Co 2.630 0.000 2.589
Co 2.630 0.000 6.065
Co 2.630 0.000 9.554
Co 2.630 0.000 13.038
Co 2.630 0.000 29.433
Co 2.630 0.000 32.943
Co 2.630 0.000 36.427
Co 2.630 0.000 39.888
Co 2.630 1.753 0.864
Co 2.630 1.753 4.324
Co 2.630 1.753 7.809
Co 2.630 1.753 11.319
Co 2.630 1.753 31.164
Co 2.630 1.753 34.680
Co 2.630 1.753 38.159
Sn 0.877 1.753 13.699
Sn 2.630 1.753 27.052
```

The 8 most intense peaks (2θ = 10–90°), sorted by position:
d_spacing, intensity
8.150, 11.8
2.060, 85.9
2.002, 100.0
1.772, 15.3
1.753, 59.4
1.246, 17.2
1.239, 17.2
1.220, 10.1